1.
Structure and calculated powder X-ray diffraction pattern of Sc3CSeF (a structure optimized by DFT (GGA-PBE); CuKα).

Structure:
```
Sc3CSeF
1.0
7.316 0.000 0.000
0.000 3.483 0.000
-1.218 0.000 7.810
Sc C Se F
6 2 2 2
direct
0.072 0.250 0.359
0.202 0.250 0.939
0.353 0.750 0.646
0.647 0.250 0.354
0.798 0.750 0.061
0.928 0.750 0.641
0.147 0.250 0.654
0.853 0.750 0.346
0.345 0.750 0.297
0.655 0.250 0.703
0.369 0.750 0.923
0.631 0.250 0.077
```

Most intense lines, 10 to 90 degrees two-theta, sorted by position:
2θ = 27.58°, d = 3.234 Å, I = 19
2θ = 31.43°, d = 2.846 Å, I = 25
2θ = 34.46°, d = 2.603 Å, I = 45
2θ = 35.48°, d = 2.530 Å, I = 42
2θ = 35.81°, d = 2.508 Å, I = 100
2θ = 40.86°, d = 2.208 Å, I = 19
2θ = 52.55°, d = 1.741 Å, I = 21
2θ = 53.37°, d = 1.717 Å, I = 20



2.
Structure and calculated powder X-ray diffraction pattern of Al2CuAu8 (a structure optimized by DFT (GGA-PBE); CuKα).

Structure:
```
Al2CuAu8
1.0
5.022 0.000 0.000
-0.472 5.676 0.000
-2.486 -2.399 6.748
Al Cu Au
2 1 8
direct
0.000 0.000 0.000
0.459 0.270 0.648
0.727 0.633 0.324
0.010 0.264 0.353
0.092 0.513 0.092
0.368 0.756 0.556
0.450 0.005 0.295
0.506 0.202 0.990
0.545 0.689 0.951
0.915 0.581 0.698
0.953 0.067 0.657
```

Most intense lines, 10 to 90 degrees two-theta, sorted by position:
2θ = 35.90°, d = 2.501 Å, I = 32
2θ = 37.45°, d = 2.401 Å, I = 42
2θ = 37.84°, d = 2.377 Å, I = 30
2θ = 38.34°, d = 2.348 Å, I = 56
2θ = 38.67°, d = 2.328 Å, I = 100
2θ = 39.28°, d = 2.293 Å, I = 75
2θ = 40.09°, d = 2.249 Å, I = 35
2θ = 41.90°, d = 2.156 Å, I = 66